# ZnFe2N2
Simulated powder XRD pattern, Cu Kα. Input: DFT lattice parameters and positions (GGA-PBE).
Neutral-atom scattering factors, no anomalous dispersion.

Top 10 peaks for 5 to 70 degrees two-theta, most intense first:
| 2θ (°) | Rel. int. |
| --- | --- |
| 44.9 | 100 |
| 35.9 | 73 |
| 31.2 | 62 |
| 51.7 | 41 |
| 18.1 | 26 |
| 25.2 | 16 |
| 61.6 | 15 |
| 40.5 | 15 |
| 68.5 | 8 |
| 36.6 | 7 |

Structural model:
Cell: 3.538 3.538 4.913 Å, 90.00 90.00 90.00°
Positions (direct):
Zn  0.000  0.000  0.000
Fe  0.500  0.500  0.265
Fe  0.500  0.500  0.735
N  0.000  0.500  0.741
N  0.500  0.000  0.259

---

# PrTl5S4
Simulated powder XRD pattern, Cu Kα. Input: DFT lattice parameters and positions (GGA-PBE).
Neutral-atom scattering factors, no anomalous dispersion.

Top 10 peaks for 5 to 70 degrees two-theta, most intense first:
| 2θ (°) | Rel. int. |
| --- | --- |
| 29.9 | 100 |
| 26.1 | 90 |
| 24.3 | 44 |
| 27.4 | 40 |
| 30.5 | 39 |
| 45.2 | 35 |
| 41.3 | 26 |
| 43.0 | 20 |
| 48.9 | 18 |
| 42.5 | 16 |

Structural model:
Cell: 9.584 9.584 8.565 Å, 109.61 109.61 25.34°
Positions (direct):
Pr  0.000  0.000  0.000
Tl  0.000  0.000  0.500
Tl  0.313  0.313  0.693
Tl  0.343  0.343  0.190
Tl  0.657  0.657  0.810
Tl  0.687  0.687  0.307
S  0.160  0.160  0.048
S  0.474  0.474  0.757
S  0.526  0.526  0.243
S  0.840  0.840  0.952

---

# La5Cd3
Simulated powder XRD pattern, Cu Kα. Input: DFT lattice parameters and positions (GGA-PBE).
Neutral-atom scattering factors, no anomalous dispersion.

Top 10 peaks for 5 to 70 degrees two-theta, most intense first:
| 2θ (°) | Rel. int. |
| --- | --- |
| 32.3 | 100 |
| 34.3 | 84 |
| 30.1 | 74 |
| 39.8 | 33 |
| 60.1 | 25 |
| 57.5 | 24 |
| 61.5 | 19 |
| 53.5 | 16 |
| 64.0 | 16 |
| 52.2 | 12 |

Structural model:
Cell: 9.068 9.068 3.502 Å, 90.00 90.00 120.00°
Positions (direct):
La  0.000  0.752  0.000
La  0.248  0.248  0.000
La  0.333  0.667  0.000
La  0.667  0.333  0.000
La  0.752  0.000  0.000
Cd  0.000  0.379  0.500
Cd  0.379  0.000  0.500
Cd  0.621  0.621  0.500

---

# Ac2SmDyEr
Simulated powder XRD pattern, Cu Kα. Input: DFT lattice parameters and positions (GGA-PBE).
Neutral-atom scattering factors, no anomalous dispersion.

Top 10 peaks for 5 to 70 degrees two-theta, most intense first:
| 2θ (°) | Rel. int. |
| --- | --- |
| 27.7 | 100 |
| 28.5 | 30 |
| 27.8 | 25 |
| 35.7 | 25 |
| 32.5 | 22 |
| 49.1 | 21 |
| 38.9 | 21 |
| 31.8 | 20 |
| 33.4 | 20 |
| 43.5 | 18 |

Structural model:
Cell: 6.411 8.994 6.680 Å, 90.00 90.00 90.00°
Positions (direct):
Ac  0.250  0.203  0.211
Ac  0.250  0.797  0.211
Ac  0.750  0.203  0.789
Ac  0.750  0.797  0.789
Sm  0.250  0.500  0.918
Sm  0.750  0.500  0.082
Dy  0.250  0.000  0.683
Dy  0.750  0.000  0.317
Er  0.000  0.500  0.500
Er  0.500  0.500  0.500

---

# H2PbS8
Simulated powder XRD pattern, Cu Kα. Input: DFT lattice parameters and positions (GGA-PBE).
Neutral-atom scattering factors, no anomalous dispersion.

Top 10 peaks for 5 to 70 degrees two-theta, most intense first:
| 2θ (°) | Rel. int. |
| --- | --- |
| 13.5 | 100 |
| 12.6 | 76 |
| 23.3 | 75 |
| 26.3 | 66 |
| 23.8 | 45 |
| 17.2 | 42 |
| 28.1 | 41 |
| 17.9 | 38 |
| 30.1 | 38 |
| 16.4 | 37 |

Structural model:
Cell: 5.737 6.798 7.323 Å, 93.78 103.94 103.09°
Positions (direct):
H  0.152  0.279  0.033
H  0.848  0.721  0.967
Pb  0.500  0.500  0.500
S  0.066  0.218  0.189
S  0.216  0.400  0.774
S  0.264  0.690  0.887
S  0.349  0.891  0.487
S  0.651  0.109  0.513
S  0.736  0.310  0.113
S  0.784  0.600  0.226
S  0.934  0.782  0.811

---

# Li15Bi4Pd2O20
Simulated powder XRD pattern, Cu Kα. Input: DFT lattice parameters and positions (GGA-PBE).
Neutral-atom scattering factors, no anomalous dispersion.

Top 10 peaks for 5 to 70 degrees two-theta, most intense first:
| 2θ (°) | Rel. int. |
| --- | --- |
| 23.3 | 100 |
| 18.1 | 76 |
| 42.2 | 42 |
| 22.8 | 42 |
| 16.4 | 40 |
| 28.0 | 30 |
| 38.3 | 28 |
| 25.1 | 27 |
| 40.7 | 27 |
| 40.8 | 26 |

Structural model:
Cell: 5.410 8.123 11.221 Å, 92.51 103.60 104.51°
Positions (direct):
Li  0.000  0.000  0.000
Li  0.003  0.080  0.250
Li  0.012  0.363  0.074
Li  0.023  0.629  0.916
Li  0.030  0.273  0.847
Li  0.035  0.540  0.658
Li  0.074  0.440  0.358
Li  0.467  0.510  0.998
Li  0.481  0.686  0.544
Li  0.500  0.851  0.074
Li  0.531  0.770  0.847
Li  0.540  0.037  0.653
Li  0.546  0.928  0.355
Li  0.561  0.119  0.920
Li  0.987  0.187  0.545
Bi  0.016  0.714  0.177
Bi  0.021  0.906  0.735
Bi  0.520  0.402  0.736
Bi  0.522  0.223  0.177
Pd  0.015  0.815  0.456
Pd  0.521  0.307  0.457
O  0.229  0.789  0.621
O  0.238  0.713  0.370
O  0.246  0.618  0.084
O  0.266  0.145  0.703
O  0.268  0.255  0.015
O  0.271  0.971  0.188
O  0.273  0.882  0.899
O  0.275  0.509  0.813
O  0.291  0.306  0.294
O  0.302  0.418  0.545
O  0.742  0.202  0.368
O  0.746  0.298  0.623
O  0.753  0.106  0.097
O  0.759  0.744  0.013
O  0.766  0.370  0.899
O  0.773  0.649  0.723
O  0.780  0.014  0.815
O  0.786  0.915  0.548
O  0.821  0.846  0.292
O  0.825  0.455  0.194

---

# USi3Rh3
Simulated powder XRD pattern, Cu Kα. Input: DFT lattice parameters and positions (GGA-PBE).
Neutral-atom scattering factors, no anomalous dispersion.

Top 10 peaks for 5 to 70 degrees two-theta, most intense first:
| 2θ (°) | Rel. int. |
| --- | --- |
| 32.8 | 100 |
| 37.9 | 73 |
| 39.7 | 62 |
| 12.4 | 50 |
| 58.4 | 42 |
| 30.3 | 40 |
| 60.8 | 39 |
| 24.4 | 33 |
| 42.6 | 30 |
| 69.6 | 21 |

Structural model:
Cell: 8.222 8.222 4.241 Å, 90.00 90.00 120.00°
Positions (direct):
U  0.333  0.667  0.250
U  0.667  0.333  0.750
Si  0.053  0.628  0.750
Si  0.372  0.425  0.750
Si  0.425  0.053  0.250
Si  0.575  0.947  0.750
Si  0.628  0.575  0.250
Si  0.947  0.372  0.250
Rh  0.053  0.333  0.750
Rh  0.280  0.947  0.750
Rh  0.333  0.280  0.250
Rh  0.667  0.720  0.750
Rh  0.720  0.053  0.250
Rh  0.947  0.667  0.250